Li2CrSi7O16: computed PXRD pattern (Cu Kα X-rays), based on the PBE+U geometry in Alexandria.
Kinematic intensities with the Lorentz-polarization factor, no thermal factor.

Top 6 peaks for 5 to 70 degrees two-theta, low angle first:
d 6.446, 2θ 13.74, intensity 42, hkl 0 0 1
d 5.470, 2θ 16.20, intensity 43, hkl 0 1 1
d 4.834, 2θ 18.35, intensity 55, hkl 1 1 0
d 3.481, 2θ 25.59, intensity 47, hkl 0 2 1
d 3.449, 2θ 25.83, intensity 100, hkl -1 1 1
d 3.073, 2θ 29.06, intensity 54, hkl 2 1 2

Atomic structure:
Cell lengths 7.036, 7.448, 7.501 Å; angles 72.57, 62.30, 78.78 degrees
Fractional coordinates of all 26 atoms:
Li1 0.000 0.000 0.000
Li2 0.334 0.677 0.866
Cr1 0.099 0.430 0.733
Si1 0.245 0.157 0.431
Si2 0.278 0.741 0.433
Si3 0.379 0.204 0.990
Si4 0.571 0.915 0.989
Si5 0.643 0.018 0.553
Si6 0.774 0.290 0.585
Si7 0.933 0.685 0.330
O1 0.020 0.254 0.595
O2 0.068 0.631 0.480
O3 0.098 0.743 0.095
O4 0.179 0.956 0.445
O5 0.181 0.228 0.926
O6 0.304 0.289 0.198
O7 0.313 0.621 0.636
O8 0.434 0.130 0.506
O9 0.472 0.742 0.203
O10 0.547 0.869 0.788
O11 0.579 0.339 0.800
O12 0.737 0.359 0.099
O13 0.774 0.880 0.392
O14 0.802 0.494 0.411
O15 0.809 0.961 0.912
O16 0.831 0.501 0.955